# 1
Ba2PuMnS6: simulated powder diffraction line list (Cu Kα (weighted mean of Kα1 and Kα2)), based on a structure optimized by DFT (PBE).
Intensities are scaled so that the largest is 100.

Crystal structure
a b c (Å): 5.0618 5.0618 9.7507
angles (deg): 90.00 90.00 90.00
Space group P4/mmm (No. 123)
Symmetry-distinct sites (fractional):
Ba  0.0000  0.0000  0.2201 [2 per cell]
Pu  0.5000  0.5000  0.5000 [1 per cell]
Mn  0.5000  0.5000  0.0000 [1 per cell]
S  0.0000  0.5000  0.0000 [2 per cell]
S  0.0000  0.5000  0.5000 [2 per cell]
S  0.5000  0.5000  0.2376 [2 per cell]

Main lines, by angle (2θ from 15° to 90°):
- hkl 1 0 1, 2θ 19.76, rel. 39
- hkl 1 1 0, 2θ 24.88, rel. 56
- hkl 1 0 2, 2θ 25.36, rel. 100
- hkl 2 0 0, 2θ 35.47, rel. 54
- hkl 0 0 4, 2θ 36.87, rel. 20
- hkl 1 1 3, 2θ 37.37, rel. 19
- hkl 2 1 2, 2θ 44.11, rel. 47
- hkl 1 1 4, 2θ 44.99, rel. 17
- hkl 2 2 0, 2θ 51.03, rel. 19
- hkl 2 0 4, 2θ 52.09, rel. 28

=====

# 2
RbBaMn2: simulated powder diffraction line list (Cu Kα (weighted mean of Kα1 and Kα2)), based on a structure optimized by DFT (PBE).
Intensities are scaled so that the largest is 100.

Crystal structure
a b c (Å): 8.3483 8.3483 8.3483
angles (deg): 90.00 90.00 90.00
Space group Fm-3m (No. 225)
Symmetry-distinct sites (fractional):
Rb  0.0000  0.0000  0.0000 [4 per cell]
Ba  0.0000  0.0000  0.5000 [4 per cell]
Mn  0.2500  0.2500  0.2500 [8 per cell]

Main lines, by angle (2θ from 15° to 90°):
- hkl 1 1 1, 2θ 18.41, rel. 4
- hkl 2 0 0, 2θ 21.29, rel. 12
- hkl 2 2 0, 2θ 30.28, rel. 100
- hkl 4 0 0, 2θ 43.35, rel. 18
- hkl 4 2 0, 2θ 48.78, rel. 6
- hkl 4 2 2, 2θ 53.80, rel. 37
- hkl 4 4 0, 2θ 62.98, rel. 11
- hkl 6 2 0, 2θ 71.47, rel. 16
- hkl 4 4 4, 2θ 79.55, rel. 4
- hkl 6 4 2, 2θ 87.43, rel. 19

=====

# 3
Rb2BaMnS4: simulated powder diffraction line list (Cu Kα (weighted mean of Kα1 and Kα2)), based on a structure optimized by DFT (PBE).
Intensities are scaled so that the largest is 100.

Crystal structure
a b c (Å): 8.4770 8.2815 7.4660
angles (deg): 90.00 90.00 90.00
Space group Pmn2_1 (No. 31)
Symmetry-distinct sites (fractional):
Rb  0.2293  0.0580  0.0000 [4 per cell]
Ba  0.0000  0.4915  0.5158 [2 per cell]
Mn  0.0000  0.6252  0.9796 [2 per cell]
S  0.0000  0.3651  0.9288 [2 per cell]
S  0.0000  0.7782  0.2289 [2 per cell]
S  0.2064  0.6968  0.8230 [4 per cell]

Main lines, by angle (2θ from 15° to 90°):
- hkl 1 1 1, 2θ 19.13, rel. 29
- hkl 2 1 0, 2θ 23.58, rel. 100
- hkl 0 0 2, 2θ 23.84, rel. 44
- hkl 0 2 1, 2θ 24.58, rel. 27
- hkl 1 2 1, 2θ 26.77, rel. 24
- hkl 0 2 2, 2θ 32.29, rel. 44
- hkl 2 1 2, 2θ 33.78, rel. 94
- hkl 1 3 1, 2θ 36.28, rel. 27
- hkl 2 3 1, 2θ 40.84, rel. 19
- hkl 4 0 0, 2θ 42.66, rel. 18

=====

# 4
RbBa2MnS4: simulated powder diffraction line list (Cu Kα (weighted mean of Kα1 and Kα2)), based on a structure optimized by DFT (PBE).
Intensities are scaled so that the largest is 100.

Crystal structure
a b c (Å): 11.9596 11.8748 8.8161
angles (deg): 90.00 126.45 90.00
Space group C2/c (No. 15)
Symmetry-distinct sites (fractional):
Rb  0.0000  0.0000  0.0000 [4 per cell]
Ba  0.0000  0.5000  0.0000 [4 per cell]
Ba  0.2500  0.2500  0.0000 [4 per cell]
Mn  0.2500  0.2500  0.5000 [4 per cell]
S  0.0821  0.2525  0.5727 [8 per cell]
S  0.2273  0.4494  0.4525 [8 per cell]

Main lines, by angle (2θ from 15° to 90°):
- hkl 2 2 0, 2θ 23.81, rel. 83
- hkl 0 0 2, 2θ 25.11, rel. 84
- hkl 2 2 -2, 2θ 25.42, rel. 50
- hkl 4 0 -2, 2θ 30.08, rel. 100
- hkl 4 0 0, 2θ 37.39, rel. 21
- hkl 0 4 2, 2θ 39.59, rel. 40
- hkl 4 0 -4, 2θ 41.62, rel. 22
- hkl 2 2 2, 2θ 42.48, rel. 24
- hkl 4 4 -2, 2θ 43.05, rel. 30
- hkl 4 4 -4, 2θ 52.22, rel. 19

=====

# 5
BaMn2RhS8: simulated powder diffraction line list (Cu Kα (weighted mean of Kα1 and Kα2)), based on a structure optimized by DFT (PBE).
Intensities are scaled so that the largest is 100.

Crystal structure
a b c (Å): 5.8616 5.8616 8.5000
angles (deg): 90.00 90.00 120.00
Space group P-3 (No. 147)
Symmetry-distinct sites (fractional):
Ba  0.0000  0.0000  0.0000 [1 per cell]
Mn  0.3333  0.6667  0.7462 [2 per cell]
Rh  0.0000  0.0000  0.5000 [1 per cell]
S  0.0032  0.3393  0.6568 [6 per cell]
S  0.3333  0.6667  0.9890 [2 per cell]

Main lines, by angle (2θ from 15° to 90°):
- hkl 1 0 0, 2θ 17.47, rel. 42
- hkl 0 1 1, 2θ 20.38, rel. 34
- hkl 1 0 2, 2θ 27.37, rel. 100
- hkl 1 1 0, 2θ 30.50, rel. 55
- hkl 1 1 1, 2θ 32.31, rel. 40
- hkl 2 -1 2, 2θ 37.27, rel. 49
- hkl 0 2 2, 2θ 41.44, rel. 32
- hkl 2 1 2, 2θ 52.32, rel. 32
- hkl 1 1 4, 2θ 53.25, rel. 52
- hkl 3 0 0, 2θ 54.21, rel. 37

=====

# 6
Ba3Mn2S6: simulated powder diffraction line list (Cu Kα (weighted mean of Kα1 and Kα2)), based on a structure optimized by DFT (PBE).
Intensities are scaled so that the largest is 100.

Crystal structure
a b c (Å): 4.7154 4.7154 25.4335
angles (deg): 90.00 90.00 90.00
Space group I4/mmm (No. 139)
Symmetry-distinct sites (fractional):
Ba  0.0000  0.0000  0.0000 [2 per cell]
Ba  0.0000  0.0000  0.1770 [4 per cell]
Mn  0.0000  0.0000  0.3934 [4 per cell]
S  0.0000  0.0000  0.3030 [4 per cell]
S  0.0000  0.5000  0.0855 [8 per cell]

Main lines, by angle (2θ from 15° to 90°):
- hkl 1 0 1, 2θ 19.14, rel. 26
- hkl 1 0 5, 2θ 25.76, rel. 100
- hkl 1 1 0, 2θ 26.74, rel. 64
- hkl 1 0 7, 2θ 31.07, rel. 18
- hkl 1 1 6, 2θ 34.21, rel. 74
- hkl 2 0 0, 2θ 38.17, rel. 63
- hkl 2 1 5, 2θ 46.62, rel. 40
- hkl 2 0 10, 2θ 52.96, rel. 16
- hkl 2 2 0, 2θ 55.09, rel. 20
- hkl 3 1 6, 2θ 66.47, rel. 21

=====

# 7
BaTaMnS6: simulated powder diffraction line list (Cu Kα (weighted mean of Kα1 and Kα2)), based on a structure optimized by DFT (PBE).
Intensities are scaled so that the largest is 100.

Crystal structure
a b c (Å): 6.2632 6.2632 6.7353
angles (deg): 90.00 90.00 120.00
Space group P3 (No. 143)
Symmetry-distinct sites (fractional):
Ba  0.0000  0.0000  0.0000 [1 per cell]
Ta  0.3333  0.6667  0.5000 [1 per cell]
Mn  0.6667  0.3333  0.4993 [1 per cell]
S  0.4223  0.0123  0.7156 [3 per cell]
S  0.4231  0.4111  0.2831 [3 per cell]

Main lines, by angle (2θ from 15° to 90°):
- hkl 1 0 0, 2θ 16.34, rel. 12
- hkl 1 0 1, 2θ 21.03, rel. 100
- hkl 1 1 0, 2θ 28.50, rel. 24
- hkl 2 0 1, 2θ 35.69, rel. 20
- hkl 2 -1 2, 2θ 39.29, rel. 50
- hkl 1 0 3, 2θ 43.63, rel. 12
- hkl 3 -1 1, 2θ 46.29, rel. 27
- hkl 3 0 0, 2θ 50.48, rel. 11
- hkl 0 2 3, 2θ 52.95, rel. 12
- hkl 3 1 1, 2θ 63.35, rel. 13

=====

# 8
BaUMnS4: simulated powder diffraction line list (Cu Kα (weighted mean of Kα1 and Kα2)), based on a structure optimized by DFT (PBE).
Intensities are scaled so that the largest is 100.

Crystal structure
a b c (Å): 6.5490 6.4984 8.5875
angles (deg): 90.00 108.40 90.00
Space group P2_1/m (No. 11)
Symmetry-distinct sites (fractional):
Ba  0.2436  0.2500  0.4397 [2 per cell]
U  0.2788  0.2500  0.9486 [2 per cell]
Mn  0.2673  0.7500  0.1760 [2 per cell]
S  0.0463  0.7500  0.9138 [2 per cell]
S  0.0646  0.7500  0.3497 [2 per cell]
S  0.4816  0.5103  0.7850 [4 per cell]

Main lines, by angle (2θ from 15° to 90°):
- hkl 1 1 0, 2θ 19.77, rel. 100
- hkl 0 1 2, 2θ 25.81, rel. 31
- hkl 1 1 -2, 2θ 25.96, rel. 36
- hkl 0 2 0, 2θ 27.45, rel. 54
- hkl 1 1 2, 2θ 32.88, rel. 59
- hkl 2 1 -2, 2θ 33.24, rel. 54
- hkl 0 2 2, 2θ 35.33, rel. 31
- hkl 1 2 -2, 2θ 35.45, rel. 24
- hkl 2 2 0, 2θ 40.16, rel. 40
- hkl 1 0 -4, 2θ 42.09, rel. 23

=====

# 9
BaU2MnS7: simulated powder diffraction line list (Cu Kα (weighted mean of Kα1 and Kα2)), based on a structure optimized by DFT (PBE).
Intensities are scaled so that the largest is 100.

Crystal structure
a b c (Å): 5.2166 5.2166 20.8366
angles (deg): 90.00 90.00 90.00
Space group I-4m2 (No. 119)
Symmetry-distinct sites (fractional):
Ba  0.0000  0.0000  0.0000 [2 per cell]
U  0.0000  0.0000  0.3738 [4 per cell]
Mn  0.0000  0.5000  0.2500 [2 per cell]
S  0.0000  0.0000  0.2544 [4 per cell]
S  0.0000  0.0000  0.5000 [2 per cell]
S  0.0000  0.5000  0.1271 [4 per cell]
S  0.0000  0.5000  0.6056 [4 per cell]

Main lines, by angle (2θ from 15° to 90°):
- hkl 1 0 1, 2θ 17.53, rel. 44
- hkl 1 0 3, 2θ 21.30, rel. 100
- hkl 1 1 0, 2θ 24.13, rel. 47
- hkl 1 0 5, 2θ 27.39, rel. 45
- hkl 2 0 0, 2θ 34.40, rel. 89
- hkl 2 1 3, 2θ 40.80, rel. 39
- hkl 1 1 8, 2θ 42.49, rel. 25
- hkl 2 1 5, 2θ 44.51, rel. 25
- hkl 2 2 0, 2θ 49.44, rel. 61
- hkl 2 2 8, 2θ 61.62, rel. 20

=====

# 10
Ba2MnSbSe5: simulated powder diffraction line list (Cu Kα (weighted mean of Kα1 and Kα2)), based on a structure optimized by DFT (PBE).
Intensities are scaled so that the largest is 100.

Crystal structure
a b c (Å): 4.3486 18.7956 13.3721
angles (deg): 90.00 90.00 90.00
Space group Cmc2_1 (No. 36)
Symmetry-distinct sites (fractional):
Ba  0.0000  0.1167  0.0000 [4 per cell]
Ba  0.0000  0.1287  0.6395 [4 per cell]
Mn  0.0000  0.4493  0.7289 [4 per cell]
Sb  0.0000  0.2025  0.3411 [4 per cell]
Se  0.0000  0.0245  0.3066 [4 per cell]
Se  0.0000  0.2919  0.9819 [4 per cell]
Se  0.0000  0.3203  0.6880 [4 per cell]
Se  0.0000  0.3427  0.3213 [4 per cell]
Se  0.0000  0.4934  0.0693 [4 per cell]

Main lines, by angle (2θ from 15° to 90°):
- hkl 0 2 3, 2θ 22.07, rel. 13
- hkl 1 3 2, 2θ 28.33, rel. 21
- hkl 1 1 3, 2θ 29.08, rel. 100
- hkl 0 6 1, 2θ 29.28, rel. 35
- hkl 1 5 0, 2θ 31.47, rel. 12
- hkl 1 5 2, 2θ 34.27, rel. 40
- hkl 2 0 0, 2θ 41.53, rel. 25
- hkl 0 2 6, 2θ 41.68, rel. 13
- hkl 2 6 1, 2θ 51.63, rel. 16
- hkl 1 7 5, 2θ 52.70, rel. 12

=====

# 11
Ba2ScMn: simulated powder diffraction line list (Cu Kα (weighted mean of Kα1 and Kα2)), based on a structure optimized by DFT (PBE).
Intensities are scaled so that the largest is 100.

Crystal structure
a b c (Å): 9.0899 4.0056 9.4069
angles (deg): 90.00 105.47 90.00
Space group Cm (No. 8)
Symmetry-distinct sites (fractional):
Ba  0.0000  0.0000  0.0000 [2 per cell]
Ba  0.1598  0.0000  0.5778 [2 per cell]
Sc  0.2787  0.5000  0.2890 [2 per cell]
Mn  0.4887  0.0000  0.2893 [2 per cell]

Main lines, by angle (2θ from 15° to 90°):
- hkl 2 0 -1, 2θ 20.02, rel. 36
- hkl 2 0 -2, 2θ 24.20, rel. 47
- hkl 1 1 0, 2θ 24.44, rel. 44
- hkl 2 0 1, 2θ 24.82, rel. 52
- hkl 1 1 1, 2θ 27.38, rel. 68
- hkl 0 0 3, 2θ 29.56, rel. 37
- hkl 1 1 -2, 2θ 29.71, rel. 100
- hkl 1 1 2, 2θ 33.21, rel. 30
- hkl 3 1 -1, 2θ 37.25, rel. 48
- hkl 2 0 -4, 2θ 39.64, rel. 27

=====

# 12
BaSc2Mn: simulated powder diffraction line list (Cu Kα (weighted mean of Kα1 and Kα2)), based on a structure optimized by DFT (PBE).
Intensities are scaled so that the largest is 100.

Crystal structure
a b c (Å): 5.1002 5.1002 8.3778
angles (deg): 90.00 90.00 90.00
Space group I-4m2 (No. 119)
Symmetry-distinct sites (fractional):
Ba  0.0000  0.0000  0.0000 [2 per cell]
Sc  0.0000  0.0000  0.5000 [2 per cell]
Sc  0.0000  0.5000  0.2500 [2 per cell]
Mn  0.0000  0.5000  0.7500 [2 per cell]

Main lines, by angle (2θ from 15° to 90°):
- hkl 1 0 1, 2θ 20.39, rel. 31
- hkl 1 1 2, 2θ 32.77, rel. 100
- hkl 2 0 0, 2θ 35.19, rel. 41
- hkl 2 1 1, 2θ 41.01, rel. 11
- hkl 0 0 4, 2θ 43.19, rel. 11
- hkl 2 2 0, 2θ 50.62, rel. 14
- hkl 2 0 4, 2θ 56.89, rel. 19
- hkl 3 1 2, 2θ 61.62, rel. 30
- hkl 2 2 4, 2θ 68.69, rel. 11
- hkl 1 1 6, 2θ 72.61, rel. 9

=====

# 13
Ba2ScMnTe5: simulated powder diffraction line list (Cu Kα (weighted mean of Kα1 and Kα2)), based on a structure optimized by DFT (PBE).
Intensities are scaled so that the largest is 100.

Crystal structure
a b c (Å): 4.4858 20.0102 14.0204
angles (deg): 90.00 90.00 90.00
Space group Cmc2_1 (No. 36)
Symmetry-distinct sites (fractional):
Ba  0.0000  0.1210  0.0000 [4 per cell]
Ba  0.0000  0.1294  0.3654 [4 per cell]
Sc  0.0000  0.1981  0.6983 [4 per cell]
Mn  0.0000  0.4343  0.0985 [4 per cell]
Te  0.0000  0.0447  0.6975 [4 per cell]
Te  0.0000  0.3054  0.0510 [4 per cell]
Te  0.0000  0.3046  0.3349 [4 per cell]
Te  0.0000  0.3410  0.6818 [4 per cell]
Te  0.0000  0.4956  0.9346 [4 per cell]

Main lines, by angle (2θ from 15° to 90°):
- hkl 0 4 3, 2θ 26.09, rel. 25
- hkl 0 2 4, 2θ 26.95, rel. 14
- hkl 1 3 2, 2θ 27.12, rel. 43
- hkl 0 6 1, 2θ 27.49, rel. 36
- hkl 1 1 3, 2θ 27.93, rel. 100
- hkl 1 5 0, 2θ 29.92, rel. 32
- hkl 1 5 2, 2θ 32.59, rel. 24
- hkl 2 0 0, 2θ 40.21, rel. 29
- hkl 1 7 4, 2θ 45.68, rel. 21
- hkl 3 1 3, 2θ 65.70, rel. 15